As2CS2: computed powder diffraction line list (copper Kα), based on a cell relaxed with GGA-PBE.
Neutral-atom scattering factors, no anomalous dispersion.

Atomic structure:
abc: 6.387 6.387 5.742
angles: 90.00 90.00 90.00
Element x y z (fractional)
As  0.000  0.500  0.250
As  0.000  0.500  0.750
As  0.500  0.000  0.250
As  0.500  0.000  0.750
C  0.000  0.000  0.000
C  0.500  0.500  0.500
S  0.000  0.000  0.266
S  0.000  0.000  0.734
S  0.500  0.500  0.234
S  0.500  0.500  0.766

Peak list (12 most intense, 10° ≤ 2θ ≤ 90°, in order of rising 2θ)
h k l, two_theta, I/Imax
1 1 0, 19.7, 22
2 0 0, 27.9, 100
0 0 2, 31.1, 30
1 1 2, 37.1, 17
2 2 0, 39.9, 36
2 0 2, 42.3, 50
2 2 2, 51.5, 28
4 0 0, 57.7, 12
4 2 0, 65.3, 16
4 0 2, 67.1, 12
2 0 4, 72.1, 11
4 2 2, 74.1, 19